No. 1
Diffraction record for InC2N. The powder diffractogram is calculated, not measured: it uses a DFT-relaxed cell (PBE, Alexandria) and Cu Kα X-rays.
Peak positions follow from Bragg's law for the DFT cell and can differ from measured ones.

The 10 most intense peaks (10 to 90 degrees two-theta), most intense first:
Position (°2θ)  I/Imax  hkl
17.9  100  0 0 1
32.1  82  1 0 -1
28.5  55  0 1 0
37.2  41  -1 1 1
29.5  40  1 -1 0
43.3  30  1 -1 2
28.2  26  0 1 -1
49.0  23  1 1 -1
36.3  19  0 0 2
38.8  17  0 1 1

Cell: 3.464 3.740 5.249 Å, 107.00 90.09 117.51°
Atoms (fractional coordinates):
In 0.000 0.000 0.000
C 0.572 0.146 0.563
C 0.644 0.288 0.832
N 0.502 0.010 0.316



No. 2
Diffraction record for InSiCN. The powder diffractogram is calculated, not measured: it uses a DFT-relaxed cell (PBE, Alexandria) and Cu Kα X-rays.
Peak positions follow from Bragg's law for the DFT cell and can differ from measured ones.

The 10 most intense peaks (10 to 90 degrees two-theta), most intense first:
Position (°2θ)  I/Imax  hkl
35.7  100  1 1 1
15.1  77  0 1 0
35.0  74  0 2 1
31.4  63  1 1 0
33.5  62  0 0 2
32.1  42  1 0 1
46.5  37  1 1 2
22.5  37  0 1 1
54.8  29  1 3 0
61.3  29  1 1 3

Cell: 3.263 5.850 5.355 Å, 90.00 90.00 90.00°
Atoms (fractional coordinates):
In 0.000 0.104 0.000
In 0.500 0.896 0.500
Si 0.000 0.417 0.489
Si 0.500 0.583 0.989
C 0.000 0.457 0.847
C 0.500 0.543 0.347
N 0.000 0.123 0.409
N 0.500 0.877 0.909



No. 3
Diffraction record for NaInC. The powder diffractogram is calculated, not measured: it uses a DFT-relaxed cell (PBE, Alexandria) and Cu Kα X-rays.
Peak positions follow from Bragg's law for the DFT cell and can differ from measured ones.

The 10 most intense peaks (10 to 90 degrees two-theta), most intense first:
Position (°2θ)  I/Imax  hkl
30.1  100  1 0 2
33.8  64  1 1 0
36.8  59  1 0 3
35.0  32  1 1 1
58.2  30  2 1 2
25.4  26  1 0 1
62.4  24  2 1 3
48.5  22  2 0 0
44.6  21  1 0 4
18.4  16  0 0 2

Cell: 3.755 3.755 9.658 Å, 90.00 90.00 90.00°
Atoms (fractional coordinates):
Na 0.000 0.000 0.000
Na 0.500 0.500 0.310
In 0.000 0.000 0.610
In 0.500 0.500 0.780
C 0.000 0.000 0.252
C 0.000 0.000 0.382



No. 4
Diffraction record for NdTh2InC. The powder diffractogram is calculated, not measured: it uses a DFT-relaxed cell (PBE, Alexandria) and Cu Kα X-rays.
Peak positions follow from Bragg's law for the DFT cell and can differ from measured ones.

The 10 most intense peaks (10 to 90 degrees two-theta), most intense first:
Position (°2θ)  I/Imax  hkl
30.3  100  1 1 1
35.5  35  2 0 0
60.5  29  3 1 1
50.3  26  2 0 2
34.6  19  0 0 2
59.3  15  1 1 3
63.1  13  2 2 2
51.0  13  2 2 0
82.0  12  3 1 3
17.1  7  0 0 1

Cell: 5.064 5.064 5.192 Å, 90.00 90.00 90.00°
Atoms (fractional coordinates):
Nd 0.000 0.000 0.000
Th 0.000 0.500 0.500
Th 0.500 0.000 0.500
In 0.500 0.500 0.000
C 0.000 0.000 0.500



No. 5
Diffraction record for Nd2TmInC. The powder diffractogram is calculated, not measured: it uses a DFT-relaxed cell (PBE, Alexandria) and Cu Kα X-rays.
Peak positions follow from Bragg's law for the DFT cell and can differ from measured ones.

The 10 most intense peaks (10 to 90 degrees two-theta), most intense first:
Position (°2θ)  I/Imax  hkl
30.7  100  1 1 1
34.9  39  2 0 0
59.9  30  3 1 1
51.8  25  2 0 2
37.1  16  0 0 2
50.1  14  2 2 0
64.0  13  2 2 2
62.9  13  1 1 3
84.5  12  3 1 3
81.8  6  3 3 1

Cell: 5.148 5.148 4.847 Å, 90.00 90.00 90.00°
Atoms (fractional coordinates):
Nd 0.000 0.500 0.000
Nd 0.500 0.000 0.000
Tm 0.000 0.000 0.500
In 0.500 0.500 0.500
C 0.000 0.000 0.000



No. 6
Diffraction record for InSbC2O. The powder diffractogram is calculated, not measured: it uses a DFT-relaxed cell (PBE, Alexandria) and Cu Kα X-rays.
Peak positions follow from Bragg's law for the DFT cell and can differ from measured ones.

The 10 most intense peaks (10 to 90 degrees two-theta), most intense first:
Position (°2θ)  I/Imax  hkl
29.5  100  1 0 1
29.3  57  1 1 0
52.0  41  2 1 1
41.9  29  2 0 0
52.5  22  1 1 2
61.2  18  2 0 2
42.5  14  0 0 2
84.4  11  3 1 2
84.0  10  3 2 1
84.9  10  2 1 3

Cell: 4.315 4.315 4.250 Å, 90.00 90.00 90.00°
Atoms (fractional coordinates):
In 0.000 0.000 0.000
Sb 0.500 0.500 0.500
C 0.000 0.500 0.000
C 0.500 0.000 0.000
O 0.000 0.000 0.500